Entry 1:
Simulated powder diffraction line list of SrSn12 for a wavelength of 1.5418 Å, from a cell relaxed with PBE.

a = 8.9814 Å, b = 8.9814 Å, c = 8.9814 Å
α = 60.00°, β = 60.00°, γ = 60.00°
Positions (direct):
1 Sr 0.0000 0.0000 0.0000
2 Sn 0.1603 0.5000 0.5000
3 Sn 0.1603 0.5000 0.8397
4 Sn 0.1603 0.8397 0.5000
5 Sn 0.5000 0.1603 0.5000
6 Sn 0.5000 0.1603 0.8397
7 Sn 0.5000 0.5000 0.1603
8 Sn 0.5000 0.5000 0.8397
9 Sn 0.5000 0.8397 0.1603
10 Sn 0.5000 0.8397 0.5000
11 Sn 0.8397 0.1603 0.5000
12 Sn 0.8397 0.5000 0.1603
13 Sn 0.8397 0.5000 0.5000

Most intense lines, 10° ≤ 2θ ≤ 90°, by angle:
| 2θ (°) | I/Imax |
| --- | --- |
| 12.07 | 41 |
| 23.23 | 89 |
| 36.77 | 100 |
| 42.09 | 43 |
| 42.71 | 70 |
| 62.00 | 47 |


Entry 2:
Simulated powder diffraction line list of Sr4SnTe5 for a wavelength of 1.5418 Å, from a cell relaxed with PBE.

a = 17.0338 Å, b = 17.0338 Å, c = 17.0338 Å
α = 164.11°, β = 164.11°, γ = 22.54°
Positions (direct):
1 Sr 0.0989 0.0989 0.0000
2 Sr 0.3006 0.3006 0.0000
3 Sr 0.6994 0.6994 0.0000
4 Sr 0.9011 0.9011 0.0000
5 Sn 0.5000 0.5000 0.0000
6 Te 0.0000 0.0000 0.0000
7 Te 0.1998 0.1998 0.0000
8 Te 0.4021 0.4021 0.0000
9 Te 0.5979 0.5979 0.0000
10 Te 0.8002 0.8002 0.0000

Most intense lines, 10° ≤ 2θ ≤ 90°, by angle:
| 2θ (°) | I/Imax |
| --- | --- |
| 26.68 | 43 |
| 26.78 | 86 |
| 38.18 | 100 |
| 47.23 | 36 |
| 62.34 | 31 |
| 69.06 | 23 |


Entry 3:
Simulated powder diffraction line list of Sr3SnTe4 for a wavelength of 1.5418 Å, from a cell relaxed with PBE.

a = 4.6979 Å, b = 4.6979 Å, c = 13.3484 Å
α = 90.00°, β = 90.00°, γ = 90.00°
Positions (direct):
1 Sr 0.0000 0.0000 0.0000
2 Sr 0.5000 0.5000 0.2524
3 Sr 0.5000 0.5000 0.7476
4 Sn 0.0000 0.0000 0.5000
5 Te 0.0000 0.0000 0.2546
6 Te 0.0000 0.0000 0.7454
7 Te 0.5000 0.5000 0.0000
8 Te 0.5000 0.5000 0.5000

Most intense lines, 10° ≤ 2θ ≤ 90°, by angle:
| 2θ (°) | I/Imax |
| --- | --- |
| 26.71 | 43 |
| 26.84 | 86 |
| 38.26 | 100 |
| 47.33 | 36 |
| 62.49 | 31 |
| 69.22 | 23 |


Entry 4:
Simulated powder diffraction line list of Sr2Tl3Sn3 for a wavelength of 1.5418 Å, from a cell relaxed with PBE.

a = 4.8588 Å, b = 4.9704 Å, c = 9.9547 Å
α = 90.00°, β = 90.00°, γ = 90.00°
Positions (direct):
1 Sr 0.0000 0.0000 0.2472
2 Sr 0.0000 0.0000 0.7528
3 Tl 0.0000 0.5000 0.5000
4 Tl 0.5000 0.5000 0.2449
5 Tl 0.5000 0.5000 0.7551
6 Sn 0.0000 0.5000 0.0000
7 Sn 0.5000 0.0000 0.0000
8 Sn 0.5000 0.0000 0.5000

Most intense lines, 10° ≤ 2θ ≤ 90°, by angle:
| 2θ (°) | I/Imax |
| --- | --- |
| 31.40 | 100 |
| 36.12 | 35 |
| 37.00 | 16 |
| 52.67 | 24 |
| 62.02 | 29 |
| 63.21 | 14 |


Entry 5:
Simulated powder diffraction line list of SrZn3Sn3 for a wavelength of 1.5418 Å, from a cell relaxed with PBE.

a = 9.6131 Å, b = 9.6131 Å, c = 9.6131 Å
α = 41.06°, β = 41.06°, γ = 41.06°
Positions (direct):
1 Sr 0.2000 0.2000 0.2000
2 Sr 0.8000 0.8000 0.8000
3 Zn 0.1569 0.2152 0.5704
4 Zn 0.2152 0.5704 0.1569
5 Zn 0.4296 0.8431 0.7848
6 Zn 0.5704 0.1569 0.2152
7 Zn 0.7848 0.4296 0.8431
8 Zn 0.8431 0.7848 0.4296
9 Sn 0.2491 0.2709 0.7460
10 Sn 0.2540 0.7509 0.7291
11 Sn 0.2709 0.7460 0.2491
12 Sn 0.7291 0.2540 0.7509
13 Sn 0.7460 0.2491 0.2709
14 Sn 0.7509 0.7291 0.2540

Most intense lines, 10° ≤ 2θ ≤ 90°, by angle:
| 2θ (°) | I/Imax |
| --- | --- |
| 31.16 | 36 |
| 31.38 | 100 |
| 33.55 | 34 |
| 41.31 | 24 |
| 46.40 | 25 |
| 54.43 | 24 |


Entry 6:
Simulated powder diffraction line list of SrZn2Sn4 for a wavelength of 1.5418 Å, from a cell relaxed with PBE.

a = 4.9440 Å, b = 15.4152 Å, c = 4.8657 Å
α = 90.00°, β = 90.00°, γ = 90.00°
Positions (direct):
1 Sr 0.0000 0.0000 0.0000
2 Sr 0.5000 0.5000 0.0000
3 Zn 0.0000 0.4199 0.5000
4 Zn 0.0000 0.5801 0.5000
5 Zn 0.5000 0.0801 0.5000
6 Zn 0.5000 0.9199 0.5000
7 Sn 0.0000 0.1757 0.5000
8 Sn 0.0000 0.3164 0.0000
9 Sn 0.0000 0.6836 0.0000
10 Sn 0.0000 0.8243 0.5000
11 Sn 0.5000 0.1836 0.0000
12 Sn 0.5000 0.3243 0.5000
13 Sn 0.5000 0.6757 0.5000
14 Sn 0.5000 0.8164 0.0000

Most intense lines, 10° ≤ 2θ ≤ 90°, by angle:
| 2θ (°) | I/Imax |
| --- | --- |
| 31.11 | 100 |
| 36.34 | 27 |
| 36.95 | 25 |
| 39.09 | 29 |
| 52.80 | 18 |
| 62.15 | 15 |


Entry 7:
Simulated powder diffraction line list of Ta2Sn3 for a wavelength of 1.5418 Å, from a cell relaxed with PBE.

a = 9.2013 Å, b = 8.2314 Å, c = 5.7835 Å
α = 80.00°, β = 61.76°, γ = 38.24°
Positions (direct):
1 Ta 0.0644 0.0644 0.4356
2 Ta 0.0893 0.0893 0.9107
3 Ta 0.4356 0.4356 0.0644
4 Ta 0.9107 0.9107 0.0893
5 Sn 0.0994 0.4006 0.0994
6 Sn 0.4006 0.0994 0.4006
7 Sn 0.4091 0.4091 0.5909
8 Sn 0.5909 0.5909 0.4091
9 Sn 0.6425 0.6425 0.8575
10 Sn 0.8575 0.8575 0.6425

Most intense lines, 10° ≤ 2θ ≤ 90°, by angle:
| 2θ (°) | I/Imax |
| --- | --- |
| 34.17 | 91 |
| 34.90 | 38 |
| 35.79 | 41 |
| 36.00 | 100 |
| 37.90 | 38 |
| 43.19 | 47 |


Entry 8:
Simulated powder diffraction line list of Ta8Sn for a wavelength of 1.5418 Å, from a cell relaxed with PBE.

a = 7.2285 Å, b = 7.2285 Å, c = 7.2285 Å
α = 93.18°, β = 93.18°, γ = 152.75°
Positions (direct):
1 Ta 0.0000 0.3344 0.3344
2 Ta 0.0000 0.6656 0.6656
3 Ta 0.3288 0.3288 0.6577
4 Ta 0.3288 0.6712 0.0000
5 Ta 0.3344 0.0000 0.3344
6 Ta 0.6656 0.0000 0.6656
7 Ta 0.6712 0.3288 0.0000
8 Ta 0.6712 0.6712 0.3423
9 Sn 0.0000 0.0000 0.0000

Most intense lines, 10° ≤ 2θ ≤ 90°, by angle:
| 2θ (°) | I/Imax |
| --- | --- |
| 37.90 | 100 |
| 38.44 | 48 |
| 55.50 | 17 |
| 68.09 | 18 |
| 69.17 | 34 |
| 81.00 | 11 |


Entry 9:
Simulated powder diffraction line list of TaTi7Sn3 for a wavelength of 1.5418 Å, from a cell relaxed with PBE.

a = 7.0658 Å, b = 7.0658 Å, c = 7.0658 Å
α = 138.91°, β = 102.05°, γ = 92.15°
Positions (direct):
1 Ta 0.0000 0.0000 0.0000
2 Ti 0.0000 0.5000 0.5000
3 Ti 0.0842 0.2651 0.8192
4 Ti 0.3059 0.0000 0.3059
5 Ti 0.4459 0.2651 0.1808
6 Ti 0.5541 0.7349 0.8192
7 Ti 0.6941 0.0000 0.6941
8 Ti 0.9158 0.7349 0.1808
9 Sn 0.2731 0.7731 0.5000
10 Sn 0.5000 0.5000 0.0000
11 Sn 0.7269 0.2269 0.5000

Most intense lines, 10° ≤ 2θ ≤ 90°, by angle:
| 2θ (°) | I/Imax |
| --- | --- |
| 19.99 | 47 |
| 27.48 | 66 |
| 36.23 | 45 |
| 36.67 | 38 |
| 39.93 | 100 |
| 52.50 | 27 |


Entry 10:
Simulated powder diffraction line list of Ta2Ti7Sn for a wavelength of 1.5418 Å, from a cell relaxed with PBE.

a = 7.4780 Å, b = 7.4780 Å, c = 4.7508 Å
α = 90.00°, β = 90.00°, γ = 123.86°
Positions (direct):
1 Ta 0.2114 0.7886 0.0000
2 Ta 0.7886 0.2114 0.0000
3 Ti 0.0000 0.0000 0.0000
4 Ti 0.2207 0.4312 0.0000
5 Ti 0.2634 0.7366 0.5000
6 Ti 0.4312 0.2207 0.0000
7 Ti 0.5688 0.7793 0.0000
8 Ti 0.7366 0.2634 0.5000
9 Ti 0.7793 0.5688 0.0000
10 Sn 0.5000 0.5000 0.5000

Most intense lines, 10° ≤ 2θ ≤ 90°, by angle:
| 2θ (°) | I/Imax |
| --- | --- |
| 18.68 | 70 |
| 25.31 | 60 |
| 34.51 | 43 |
| 37.36 | 52 |
| 37.88 | 53 |
| 41.17 | 100 |


Entry 11:
Simulated powder diffraction line list of TaV6Sn for a wavelength of 1.5418 Å, from a cell relaxed with PBE.

a = 4.5570 Å, b = 5.2441 Å, c = 10.2520 Å
α = 90.00°, β = 90.00°, γ = 90.00°
Positions (direct):
1 Ta 0.0000 0.0000 0.0000
2 Ta 0.0000 0.5000 0.5000
3 V 0.0000 0.0000 0.4891
4 V 0.0000 0.2278 0.2534
5 V 0.0000 0.2722 0.7534
6 V 0.0000 0.5000 0.9891
7 V 0.0000 0.7278 0.7534
8 V 0.0000 0.7722 0.2534
9 V 0.5000 0.0000 0.1469
10 V 0.5000 0.2375 0.3841
11 V 0.5000 0.2625 0.8841
12 V 0.5000 0.5000 0.6469
13 V 0.5000 0.7375 0.8841
14 V 0.5000 0.7625 0.3841
15 Sn 0.5000 0.0000 0.6416
16 Sn 0.5000 0.5000 0.1416

Most intense lines, 10° ≤ 2θ ≤ 90°, by angle:
| 2θ (°) | I/Imax |
| --- | --- |
| 27.35 | 58 |
| 38.57 | 47 |
| 39.55 | 55 |
| 40.38 | 98 |
| 43.56 | 100 |
| 56.43 | 30 |


Entry 12:
Simulated powder diffraction line list of TaV7Sn2 for a wavelength of 1.5418 Å, from a cell relaxed with PBE.

a = 6.3920 Å, b = 6.3920 Å, c = 6.3920 Å
α = 60.00°, β = 60.00°, γ = 60.00°
Positions (direct):
1 Ta 0.0000 0.0000 0.0000
2 V 0.2597 0.2597 0.7403
3 V 0.2597 0.7403 0.2597
4 V 0.2597 0.7403 0.7403
5 V 0.5000 0.5000 0.5000
6 V 0.7403 0.2597 0.2597
7 V 0.7403 0.2597 0.7403
8 V 0.7403 0.7403 0.2597
9 Sn 0.2500 0.2500 0.2500
10 Sn 0.7500 0.7500 0.7500

Most intense lines, 10° ≤ 2θ ≤ 90°, by angle:
| 2θ (°) | I/Imax |
| --- | --- |
| 27.92 | 100 |
| 34.37 | 28 |
| 39.89 | 83 |
| 49.39 | 43 |
| 57.69 | 54 |
| 79.31 | 24 |


Entry 13:
Simulated powder diffraction line list of Ta6SnW for a wavelength of 1.5418 Å, from a cell relaxed with PBE.

a = 7.4030 Å, b = 7.4030 Å, c = 13.1296 Å
α = 90.00°, β = 90.00°, γ = 125.65°
Positions (direct):
1 Ta 0.0000 0.0000 0.0000
2 Ta 0.0000 0.0000 0.5000
3 Ta 0.1293 0.3884 0.3783
4 Ta 0.1293 0.3884 0.6217
5 Ta 0.1434 0.3848 0.1291
6 Ta 0.1434 0.3848 0.8709
7 Ta 0.2453 0.7547 0.2478
8 Ta 0.2453 0.7547 0.7522
9 Ta 0.3848 0.1434 0.1291
10 Ta 0.3848 0.1434 0.8709
11 Ta 0.3884 0.1293 0.3783
12 Ta 0.3884 0.1293 0.6217
13 Ta 0.5000 0.5000 0.0000
14 Ta 0.5000 0.5000 0.5000
15 Ta 0.6116 0.8707 0.3783
16 Ta 0.6116 0.8707 0.6217
17 Ta 0.6152 0.8566 0.1291
18 Ta 0.6152 0.8566 0.8709
19 Ta 0.7547 0.2453 0.2478
20 Ta 0.7547 0.2453 0.7522
21 Ta 0.8566 0.6152 0.1291
22 Ta 0.8566 0.6152 0.8709
23 Ta 0.8707 0.6116 0.3783
24 Ta 0.8707 0.6116 0.6217
25 Sn 0.0000 0.0000 0.2565
26 Sn 0.0000 0.0000 0.7435
27 Sn 0.2398 0.7602 0.0000
28 Sn 0.7602 0.2398 0.0000
29 W 0.2469 0.7531 0.5000
30 W 0.5000 0.5000 0.2535
31 W 0.5000 0.5000 0.7465
32 W 0.7531 0.2469 0.5000

Most intense lines, 10° ≤ 2θ ≤ 90°, by angle:
| 2θ (°) | I/Imax |
| --- | --- |
| 38.18 | 100 |
| 38.73 | 48 |
| 54.26 | 9 |
| 68.65 | 17 |
| 69.68 | 17 |
| 69.81 | 17 |